Structure and computed X-ray powder pattern of Rb3BaF6 (a DFT-relaxed cell (GGA-PBE, Alexandria); Cu Ka).
Kinematic intensities with the Lorentz-polarization factor, no thermal factor.

Most intense lines, 15° ≤ 2θ ≤ 90°, by angle:
2θ = 23.96°, I = 41, hkl 1 0 1
2θ = 24.85°, I = 30, hkl 1 1 1
2θ = 25.68°, I = 100, hkl 2 2 0
2θ = 26.21°, I = 54, hkl 0 4 0
2θ = 27.36°, I = 56, hkl 1 2 1
2θ = 31.13°, I = 61, hkl 1 3 1
2θ = 35.80°, I = 36, hkl 1 4 1
2θ = 39.86°, I = 41, hkl 3 0 1
2θ = 45.92°, I = 35, hkl 2 6 0
2θ = 50.98°, I = 31, hkl 2 2 2

Crystal structure
```
data_Rb3BaF6
_cell_length_a 8.066
_cell_length_b 13.601
_cell_length_c 4.184
_cell_angle_alpha 90.00
_cell_angle_beta 90.00
_cell_angle_gamma 90.00
_symmetry_space_group_name_H-M 'P n n m'
_symmetry_Int_Tables_number 58
_symmetry_space_group_name_Hall '-P 2 2n'
loop_
_atom_site_label
_atom_site_type_symbol
_atom_site_fract_x
_atom_site_fract_y
_atom_site_fract_z
_atom_site_occupancy
Rb1 Rb 0.000 0.000 0.000 1
Rb2 Rb 0.229 0.248 0.500 1
Ba1 Ba 0.000 0.500 0.000 1
F1 F 0.044 0.305 0.000 1
F2 F 0.174 0.572 0.500 1
F3 F 0.175 0.903 0.500 1
```